(1)
Theoretical XRD peak list
Compound: Al2Si2H5C2NO10
Radiation: Cu Kα
Structure: a DFT-relaxed cell (GGA-PBE, the Materials Project)

Structural model:
Lattice parameters (Å, degrees): 5.214 5.214 21.558 91.01 91.01 119.93
Atoms (fractional coordinates):
Al 0.096 0.904 0.500
Al 0.253 0.769 0.001
Al 0.769 0.253 0.501
Al 0.904 0.096 0.000
Si 0.087 0.257 0.628
Si 0.257 0.087 0.128
Si 0.428 0.937 0.627
Si 0.937 0.428 0.127
H 0.167 0.558 0.422
H 0.223 0.522 0.261
H 0.327 0.437 0.928
H 0.437 0.327 0.428
H 0.522 0.223 0.761
H 0.558 0.167 0.922
H 0.732 0.876 0.416
H 0.761 0.773 0.729
H 0.773 0.761 0.229
H 0.876 0.732 0.916
C 0.093 0.815 0.789
C 0.413 0.608 0.295
C 0.608 0.413 0.795
C 0.815 0.093 0.289
N 0.700 0.825 0.268
N 0.825 0.700 0.768
O 0.038 0.569 0.452
O 0.051 0.207 0.553
O 0.076 0.237 0.159
O 0.124 0.762 0.160
O 0.179 0.428 0.956
O 0.207 0.051 0.053
O 0.237 0.076 0.659
O 0.295 0.601 0.652
O 0.400 0.556 0.349
O 0.428 0.179 0.456
O 0.435 0.967 0.553
O 0.556 0.400 0.849
O 0.569 0.038 0.952
O 0.589 0.840 0.050
O 0.601 0.295 0.152
O 0.762 0.124 0.660
O 0.816 0.960 0.457
O 0.840 0.589 0.550
O 0.960 0.816 0.957
O 0.967 0.435 0.053

Top 10 peaks for 10 to 90 degrees two-theta, in order of rising 2θ:
- d 4.516, 19.66 deg, I 349
- d 4.211, 21.10 deg, I 751
- d 4.163, 21.34 deg, I 326
- d 4.120, 21.57 deg, I 229
- d 3.821, 23.28 deg, I 1000
- d 3.591, 24.80 deg, I 608
- d 3.410, 26.13 deg, I 393
- d 2.582, 34.74 deg, I 259
- d 2.213, 40.78 deg, I 450
- d 1.505, 61.64 deg, I 236

---

(2)
Theoretical XRD peak list
Compound: NaAlH2CO5
Radiation: Cu Kα
Structure: a DFT-relaxed cell (GGA-PBE, the Materials Project)

Structural model:
Lattice parameters (Å, degrees): 6.868 6.868 6.868 131.35 119.42 81.27
Atoms (fractional coordinates):
Na 0.000 0.000 0.000
Na 0.500 0.000 0.500
Al 0.500 0.000 0.000
Al 0.500 0.500 0.500
H 0.174 0.721 0.453
H 0.232 0.279 0.953
H 0.768 0.721 0.047
H 0.826 0.279 0.547
C 0.251 0.501 0.750
C 0.749 0.499 0.250
O 0.130 0.380 0.750
O 0.296 0.225 0.071
O 0.315 0.364 0.549
O 0.315 0.766 0.951
O 0.346 0.775 0.571
O 0.654 0.225 0.429
O 0.685 0.234 0.049
O 0.685 0.636 0.451
O 0.704 0.775 0.929
O 0.870 0.620 0.250

Top 10 peaks for 10 to 90 degrees two-theta, in order of rising 2θ:
- d 5.770, 15.36 deg, I 1000
- d 3.464, 25.72 deg, I 130
- d 2.842, 31.47 deg, I 613
- d 2.606, 34.42 deg, I 174
- d 2.540, 35.34 deg, I 155
- d 2.191, 41.20 deg, I 212
- d 1.996, 45.43 deg, I 155
- d 1.763, 51.85 deg, I 207
- d 1.732, 52.86 deg, I 88
- d 1.677, 54.73 deg, I 164